Er5Si10Ir4: theoretical powder X-ray diffraction pattern (Cu Kα X-rays), based on DFT lattice parameters and positions (GGA-PBE).
Peak positions follow from Bragg's law for the DFT cell and can differ from measured ones.

Most intense lines, 15° ≤ 2θ ≤ 90°, low angle first:
| 2theta | d [Å] | Rel. int. |
| --- | --- | --- |
| 19.93 | 4.456 | 22.8 |
| 22.31 | 3.985 | 23.8 |
| 29.08 | 3.071 | 34.2 |
| 35.50 | 2.529 | 100.0 |
| 36.23 | 2.479 | 35.2 |
| 36.95 | 2.433 | 29.3 |
| 40.49 | 2.228 | 24.9 |
| 42.66 | 2.120 | 33.0 |

Structural model:
a b c (Å): 12.602 12.602 4.239
angles (deg): 90.00 90.00 90.00
Sites, in units of the cell vectors:
Er 0.000 0.000 0.000
Er 0.114 0.386 0.500
Er 0.175 0.675 0.500
Er 0.325 0.175 0.500
Er 0.386 0.886 0.500
Er 0.500 0.500 0.000
Er 0.614 0.114 0.500
Er 0.675 0.825 0.500
Er 0.825 0.325 0.500
Er 0.886 0.614 0.500
Si 0.002 0.844 0.500
Si 0.066 0.566 0.000
Si 0.156 0.002 0.500
Si 0.164 0.201 0.000
Si 0.201 0.836 0.000
Si 0.299 0.336 0.000
Si 0.336 0.701 0.000
Si 0.344 0.502 0.500
Si 0.434 0.066 0.000
Si 0.498 0.344 0.500
Si 0.502 0.656 0.500
Si 0.566 0.934 0.000
Si 0.656 0.498 0.500
Si 0.664 0.299 0.000
Si 0.701 0.664 0.000
Si 0.799 0.164 0.000
Si 0.836 0.799 0.000
Si 0.844 0.998 0.500
Si 0.934 0.434 0.000
Si 0.998 0.156 0.500
Ir 0.020 0.755 0.000
Ir 0.245 0.020 0.000
Ir 0.255 0.520 0.000
Ir 0.480 0.255 0.000
Ir 0.520 0.745 0.000
Ir 0.745 0.480 0.000
Ir 0.755 0.980 0.000
Ir 0.980 0.245 0.000

---

SmErSiIr: theoretical powder X-ray diffraction pattern (Cu Kα X-rays), based on DFT lattice parameters and positions (GGA-PBE).
Peak positions follow from Bragg's law for the DFT cell and can differ from measured ones.

Most intense lines, 15° ≤ 2θ ≤ 90°, low angle first:
| 2theta | d [Å] | Rel. int. |
| --- | --- | --- |
| 16.44 | 5.391 | 24.1 |
| 32.18 | 2.782 | 100.0 |
| 32.74 | 2.735 | 37.9 |
| 33.24 | 2.695 | 25.4 |
| 40.13 | 2.247 | 50.1 |
| 40.55 | 2.225 | 20.4 |
| 42.90 | 2.108 | 22.7 |
| 46.06 | 1.971 | 18.5 |

Structural model:
a b c (Å): 3.942 5.788 5.788
angles (deg): 42.72 90.00 90.00
Sites, in units of the cell vectors:
Sm 0.000 0.000 0.000
Er 0.500 0.282 0.282
Si 0.500 0.583 0.583
Ir 0.000 0.723 0.723

---

Tb3ErIr4: theoretical powder X-ray diffraction pattern (Cu Kα X-rays), based on DFT lattice parameters and positions (GGA-PBE).
Peak positions follow from Bragg's law for the DFT cell and can differ from measured ones.

Most intense lines, 15° ≤ 2θ ≤ 90°, low angle first:
| 2theta | d [Å] | Rel. int. |
| --- | --- | --- |
| 36.69 | 2.450 | 100.0 |
| 37.94 | 2.371 | 45.6 |
| 50.92 | 1.793 | 9.9 |
| 54.74 | 1.677 | 16.0 |
| 65.23 | 1.430 | 18.9 |
| 67.72 | 1.384 | 33.8 |
| 78.02 | 1.225 | 11.4 |
| 86.41 | 1.126 | 9.1 |

Structural model:
a b c (Å): 3.586 4.742 9.486
angles (deg): 90.00 90.00 90.00
Sites, in units of the cell vectors:
Tb 0.000 0.000 0.000
Tb 0.000 0.500 0.251
Tb 0.000 0.500 0.749
Er 0.000 0.000 0.500
Ir 0.500 0.000 0.253
Ir 0.500 0.000 0.747
Ir 0.500 0.500 0.000
Ir 0.500 0.500 0.500